Starting from the GGA-PBE geometry in Alexandria, the powder X-ray diffraction pattern of Tb3Pr9Sm2 was simulated for CuKα.

Crystal structure
```
data_Tb3Pr9Sm2
_cell_length_a 9.2113
_cell_length_b 9.2113
_cell_length_c 13.9669
_cell_angle_alpha 90.00
_cell_angle_beta 90.00
_cell_angle_gamma 120.00
_symmetry_space_group_name_H-M 'P 1'
_symmetry_Int_Tables_number 1
loop_
_symmetry_equiv_pos_as_xyz
'x,y,z'
loop_
_atom_site_label
_atom_site_type_symbol
_atom_site_fract_x
_atom_site_fract_y
_atom_site_fract_z
Tb1 Tb 0.0779 0.2489 0.2500
Tb2 Tb 0.1710 0.9221 0.2500
Tb3 Tb 0.2489 0.1710 0.7500
Tb4 Tb 0.7511 0.8290 0.2500
Tb5 Tb 0.8290 0.0779 0.7500
Tb6 Tb 0.9221 0.7511 0.7500
Pr1 Pr 0.0800 0.4808 0.7500
Pr2 Pr 0.1305 0.7250 0.5397
Pr3 Pr 0.1305 0.7250 0.9603
Pr4 Pr 0.2750 0.4055 0.5397
Pr5 Pr 0.2750 0.4055 0.9603
Pr6 Pr 0.4008 0.9200 0.7500
Pr7 Pr 0.4055 0.1305 0.0397
Pr8 Pr 0.4055 0.1305 0.4603
Pr9 Pr 0.4808 0.4008 0.2500
Pr10 Pr 0.5192 0.5992 0.7500
Pr11 Pr 0.5945 0.8695 0.5397
Pr12 Pr 0.5945 0.8695 0.9603
Pr13 Pr 0.5992 0.0800 0.2500
Pr14 Pr 0.7250 0.5945 0.0397
Pr15 Pr 0.7250 0.5945 0.4603
Pr16 Pr 0.8695 0.2750 0.0397
Pr17 Pr 0.8695 0.2750 0.4603
Pr18 Pr 0.9200 0.5192 0.2500
Sm1 Sm 0.3333 0.6667 0.1419
Sm2 Sm 0.3333 0.6667 0.3581
Sm3 Sm 0.6667 0.3333 0.6419
Sm4 Sm 0.6667 0.3333 0.8581
```

Top 6 peaks for 10° ≤ 2θ ≤ 90°, in order of rising 2θ:
d/Å  I (rel.)
3.492  26
3.029  41
2.947  81
2.768  100
2.531  26
1.741  31

***

Starting from the GGA-PBE geometry in Alexandria, the powder X-ray diffraction pattern of Er2Ge3Pd5 was simulated for CuKα.

Crystal structure
```
data_Er2Ge3Pd5
_cell_length_a 12.2904
_cell_length_b 12.2904
_cell_length_c 6.7928
_cell_angle_alpha 90.00
_cell_angle_beta 90.00
_cell_angle_gamma 159.90
_symmetry_space_group_name_H-M 'P 1'
_symmetry_Int_Tables_number 1
loop_
_symmetry_equiv_pos_as_xyz
'x,y,z'
loop_
_atom_site_label
_atom_site_type_symbol
_atom_site_fract_x
_atom_site_fract_y
_atom_site_fract_z
Er1 Er 0.0228 0.9772 0.5000
Er2 Er 0.3253 0.6747 0.5502
Er3 Er 0.6747 0.3253 0.0502
Er4 Er 0.9772 0.0228 0.0000
Ge1 Ge 0.1194 0.8806 0.7395
Ge2 Ge 0.2749 0.7251 0.0997
Ge3 Ge 0.4526 0.5474 0.7125
Ge4 Ge 0.5474 0.4526 0.2125
Ge5 Ge 0.7251 0.2749 0.5997
Ge6 Ge 0.8806 0.1194 0.2395
Pd1 Pd 0.0962 0.9038 0.1147
Pd2 Pd 0.1979 0.8021 0.3715
Pd3 Pd 0.2225 0.7775 0.7937
Pd4 Pd 0.3769 0.6231 0.9905
Pd5 Pd 0.4441 0.5559 0.3366
Pd6 Pd 0.5559 0.4441 0.8366
Pd7 Pd 0.6231 0.3769 0.4905
Pd8 Pd 0.7775 0.2225 0.2937
Pd9 Pd 0.8021 0.1979 0.8715
Pd10 Pd 0.9038 0.0962 0.6147
```

Top 6 peaks for 10° ≤ 2θ ≤ 90°, in order of rising 2θ:
d/Å  I (rel.)
2.529  100
2.503  100
2.333  42
2.279  60
2.145  56
1.562  21

***

Starting from the GGA-PBE geometry in Alexandria, the powder X-ray diffraction pattern of RbGePd2 was simulated for CuKα.

Crystal structure
```
data_RbGePd2
_cell_length_a 4.2663
_cell_length_b 7.0049
_cell_length_c 6.8523
_cell_angle_alpha 90.00
_cell_angle_beta 90.00
_cell_angle_gamma 90.00
_symmetry_space_group_name_H-M 'P 1'
_symmetry_Int_Tables_number 1
loop_
_symmetry_equiv_pos_as_xyz
'x,y,z'
loop_
_atom_site_label
_atom_site_type_symbol
_atom_site_fract_x
_atom_site_fract_y
_atom_site_fract_z
Rb1 Rb 0.2500 0.2500 0.1172
Rb2 Rb 0.7500 0.7500 0.8828
Ge1 Ge 0.2500 0.7500 0.3927
Ge2 Ge 0.7500 0.2500 0.6073
Pd1 Pd 0.2500 0.0562 0.6104
Pd2 Pd 0.2500 0.4438 0.6104
Pd3 Pd 0.7500 0.5562 0.3896
Pd4 Pd 0.7500 0.9438 0.3896
```

Top 6 peaks for 10° ≤ 2θ ≤ 90°, in order of rising 2θ:
d/Å  I (rel.)
6.852  100
3.078  61
2.671  39
2.518  57
1.962  44
1.746  33

***

Starting from the GGA-PBE geometry in Alexandria, the powder X-ray diffraction pattern of ThU4Ga15 was simulated for CuKα.

Crystal structure
```
data_ThU4Ga15
_cell_length_a 4.2997
_cell_length_b 4.2997
_cell_length_c 21.5861
_cell_angle_alpha 90.00
_cell_angle_beta 90.00
_cell_angle_gamma 90.00
_symmetry_space_group_name_H-M 'P 1'
_symmetry_Int_Tables_number 1
loop_
_symmetry_equiv_pos_as_xyz
'x,y,z'
loop_
_atom_site_label
_atom_site_type_symbol
_atom_site_fract_x
_atom_site_fract_y
_atom_site_fract_z
Th1 Th 0.0000 0.0000 0.0000
U1 U 0.0000 0.0000 0.2040
U2 U 0.0000 0.0000 0.4013
U3 U 0.0000 0.0000 0.5987
U4 U 0.0000 0.0000 0.7960
Ga1 Ga 0.0000 0.5000 0.1066
Ga2 Ga 0.0000 0.5000 0.3028
Ga3 Ga 0.0000 0.5000 0.5000
Ga4 Ga 0.0000 0.5000 0.6972
Ga5 Ga 0.0000 0.5000 0.8934
Ga6 Ga 0.5000 0.0000 0.1066
Ga7 Ga 0.5000 0.0000 0.3028
Ga8 Ga 0.5000 0.0000 0.5000
Ga9 Ga 0.5000 0.0000 0.6972
Ga10 Ga 0.5000 0.0000 0.8934
Ga11 Ga 0.5000 0.5000 0.0000
Ga12 Ga 0.5000 0.5000 0.2041
Ga13 Ga 0.5000 0.5000 0.4012
Ga14 Ga 0.5000 0.5000 0.5988
Ga15 Ga 0.5000 0.5000 0.7959
```

Top 6 peaks for 10° ≤ 2θ ≤ 90°, in order of rising 2θ:
d/Å  I (rel.)
4.306  35
3.044  30
2.486  100
2.150  33
1.523  21
1.297  26

***

Repeat the second record exactly.
Starting from the GGA-PBE geometry in Alexandria, the powder X-ray diffraction pattern of Er2Ge3Pd5 was simulated for CuKα.

Crystal structure
```
data_Er2Ge3Pd5
_cell_length_a 12.2904
_cell_length_b 12.2904
_cell_length_c 6.7928
_cell_angle_alpha 90.00
_cell_angle_beta 90.00
_cell_angle_gamma 159.90
_symmetry_space_group_name_H-M 'P 1'
_symmetry_Int_Tables_number 1
loop_
_symmetry_equiv_pos_as_xyz
'x,y,z'
loop_
_atom_site_label
_atom_site_type_symbol
_atom_site_fract_x
_atom_site_fract_y
_atom_site_fract_z
Er1 Er 0.0228 0.9772 0.5000
Er2 Er 0.3253 0.6747 0.5502
Er3 Er 0.6747 0.3253 0.0502
Er4 Er 0.9772 0.0228 0.0000
Ge1 Ge 0.1194 0.8806 0.7395
Ge2 Ge 0.2749 0.7251 0.0997
Ge3 Ge 0.4526 0.5474 0.7125
Ge4 Ge 0.5474 0.4526 0.2125
Ge5 Ge 0.7251 0.2749 0.5997
Ge6 Ge 0.8806 0.1194 0.2395
Pd1 Pd 0.0962 0.9038 0.1147
Pd2 Pd 0.1979 0.8021 0.3715
Pd3 Pd 0.2225 0.7775 0.7937
Pd4 Pd 0.3769 0.6231 0.9905
Pd5 Pd 0.4441 0.5559 0.3366
Pd6 Pd 0.5559 0.4441 0.8366
Pd7 Pd 0.6231 0.3769 0.4905
Pd8 Pd 0.7775 0.2225 0.2937
Pd9 Pd 0.8021 0.1979 0.8715
Pd10 Pd 0.9038 0.0962 0.6147
```

Top 6 peaks for 10° ≤ 2θ ≤ 90°, in order of rising 2θ:
d/Å  I (rel.)
2.529  100
2.503  100
2.333  42
2.279  60
2.145  56
1.562  21

***

> Which formula does entry 1 have?

Tb3Pr9Sm2